Computed PXRD pattern
Compound: Er6ZnTc
Radiation: Cu Kα X-rays
Structure: a structure optimized by DFT (GGA-PBE)
Lines closer than 0.1° are merged.

Main lines, in order of rising 2θ (15° ≤ 2θ ≤ 90°):
2θ = 27.7°, d 3.226, I = 23, (1 1 2); 2θ = 31.2°, d 2.864, I = 15, (0 0 6); 2θ = 33.1°, d 2.704, I = 100, (1 1 4); 2θ = 36.5°, d 2.461, I = 51, (2 0 0); 2θ = 40.8°, d 2.212, I = 9, (1 1 6); 2θ = 48.8°, d 1.867, I = 18, (2 0 6); 2θ = 52.6°, d 1.740, I = 18, (2 2 0); 2θ = 60.0°, d 1.541, I = 12, (1 1 10); 2θ = 63.6°, d 1.463, I = 30, (3 1 4); 2θ = 83.9°, d 1.154, I = 9, (3 1 10)

```
data_Er6ZnTc
_chemical_formula_sum 'Er12 Zn2 Tc2'
_cell_length_a 4.9218
_cell_length_b 4.9218
_cell_length_c 17.1860
_cell_angle_alpha 90.00
_cell_angle_beta 90.00
_cell_angle_gamma 90.00
_symmetry_space_group_name_H-M 'I 4/m m m'
_symmetry_Int_Tables_number 139
_symmetry_space_group_name_Hall '-I 4 2'
loop_
_atom_site_label
_atom_site_type_symbol
_atom_site_fract_x
_atom_site_fract_y
_atom_site_fract_z
_atom_site_occupancy
Er1 Er 0.0000 0.0000 0.2480 1
Er2 Er 0.0000 0.5000 0.0974 1
Zn1 Zn 0.0000 0.0000 0.5000 1
Tc1 Tc 0.0000 0.0000 0.0000 1
```